Structure and simulated powder diffraction line list of CsLa2As2S6 (DFT lattice parameters and positions (PBE); Cu Kα (weighted mean of Kα1 and Kα2)).

Structural model:
```
data_CsLa2As2S6
_symmetry_space_group_name_H-M 'P -1'
_symmetry_Int_Tables_number 2
_cell_length_a 7.7888
_cell_length_b 8.0161
_cell_length_c 8.1224
_cell_angle_alpha 65.36
_cell_angle_beta 62.51
_cell_angle_gamma 61.27
loop_
_symmetry_equiv_pos_as_xyz
'x,y,z'
'-x,-y,-z'
loop_
_atom_site_label
_atom_site_fract_x
_atom_site_fract_y
_atom_site_fract_z
Cs1 0.0000 0.0000 0.0000
La1 0.3248 0.3032 0.0424
As1 0.3421 0.6470 0.5623
S1 0.1154 0.4798 0.7551
S2 0.3412 0.9164 0.2188
S3 0.4477 0.6404 0.7898
```

Most intense lines, 15° ≤ 2θ ≤ 90°, low angle first:
Position (°2θ)  d (Å)  Rel. int.
20.39  4.356  27
22.26  3.994  43
22.84  3.894  64
24.84  3.584  33
26.20  3.402  100
26.42  3.373  35
32.79  2.731  41
33.03  2.712  30
34.86  2.574  45
46.66  1.947  43

Structure and simulated powder diffraction line list of Ag4SeS (DFT lattice parameters and positions (PBE); Cu Kα (weighted mean of Kα1 and Kα2)).

Structural model:
```
data_Ag4SeS
_symmetry_space_group_name_H-M 'I 41 m d'
_symmetry_Int_Tables_number 109
_symmetry_space_group_name_Hall 'I 4bw -2'
_cell_length_a 7.2983
_cell_length_b 7.2983
_cell_length_c 12.7548
_cell_angle_alpha 90.00
_cell_angle_beta 90.00
_cell_angle_gamma 90.00
loop_
_atom_site_label
_atom_site_fract_x
_atom_site_fract_y
_atom_site_fract_z
Ag1 0.0000 0.2089 0.0000
Ag2 0.0000 0.2638 0.4101
Se1 0.0000 0.0000 0.8474
S1 0.0000 0.0000 0.2944
```

Most intense lines, 15° ≤ 2θ ≤ 90°, low angle first:
Position (°2θ)  d (Å)  Rel. int.
24.23  3.674  13
28.18  3.167  100
34.65  2.589  39
34.77  2.580  19
37.34  2.408  12
45.14  2.008  40
49.97  1.825  23
58.18  1.586  14
58.37  1.581  17
73.34  1.291  11

Structure and simulated powder diffraction line list of Mg3In4Pb3 (DFT lattice parameters and positions (PBE); Cu Kα (weighted mean of Kα1 and Kα2)).

Structural model:
```
data_Mg3In4Pb3
_symmetry_space_group_name_H-M 'A m m 2'
_symmetry_Int_Tables_number 38
_cell_length_a 3.2942
_cell_length_b 12.0464
_cell_length_c 13.6467
_cell_angle_alpha 90.00
_cell_angle_beta 90.00
_cell_angle_gamma 90.00
loop_
_symmetry_equiv_pos_as_xyz
'x,y,z'
'-x,-y,z'
'-x,y,z'
'x,-y,z'
'x,y+1/2,z+1/2'
'-x,-y+1/2,z+1/2'
'-x,y+1/2,z+1/2'
'x,-y+1/2,z+1/2'
loop_
_atom_site_label
_atom_site_fract_x
_atom_site_fract_y
_atom_site_fract_z
Mg1 0.0000 0.0000 0.0000
Mg2 0.0000 0.1668 0.6963
In1 0.5000 0.0000 0.5620
In2 0.5000 0.0000 0.8142
In3 0.5000 0.1301 0.1564
Pb1 0.0000 0.0000 0.3458
Pb2 0.5000 0.2493 0.9297
```

Most intense lines, 15° ≤ 2θ ≤ 90°, low angle first:
Position (°2θ)  d (Å)  Rel. int.
19.66  4.516  32
27.07  3.294  32
29.67  3.011  34
30.11  2.968  100
32.50  2.755  74
33.68  2.661  84
34.43  2.605  63
35.87  2.504  48
40.92  2.205  34
58.02  1.590  27

What is the formula in the third record? Mg3In4Pb3